For Te4MoW3Se2S2, the PBE geometry in Alexandria gives the theoretical powder diffraction line list in this record (copper Kα).
No peak broadening, texture or thermal motion is included.

Top 10 peaks for 2θ = 10–80°, in order of falling intensity:
two_theta	d_spacing	Rel. int.	hkl
11.83	7.481	100	0 0 5
36.05	2.491	78	1 0 8
30.38	2.942	44	1 0 0
44.00	2.058	42	1 0 13
34.79	2.579	40	0 1 7
53.96	1.699	36	1 1 0
42.22	2.140	29	0 1 12
66.60	1.404	16	0 2 8
32.69	2.740	15	1 0 5
75.59	1.258	14	1 1 20

Cell and atoms:
Unit cell a=3.3996 b=3.3996 c=37.4050 alpha=90.00 beta=90.00 gamma=120.00
Space group P3m1 (No. 156)
One atom of each set of equivalent atoms:
Te 0.0000 0.0000 0.0000
Te 0.0000 0.0000 0.1008
Te 0.0000 0.0000 0.3965
Te 0.0000 0.0000 0.4972
Mo 0.0000 0.0000 0.8597
W 0.0000 0.0000 0.2480
W 0.3333 0.6667 0.0504
W 0.3333 0.6667 0.4469
Se 0.3333 0.6667 0.2038
Se 0.3333 0.6667 0.2923
S 0.3333 0.6667 0.8196
S 0.3333 0.6667 0.8999